Simulated X-ray powder pattern of Na5B9C for Cu Kα, 1.54184 Å, from a GGA-PBE-relaxed structure.
Peak positions follow from Bragg's law for the DFT cell and can differ from measured ones.

Principal peaks in the range 2θ = 15–90°, by angle:
2θ 34.08, I = 11, hkl 0 0 10; 2θ 34.96, I = 19, hkl 0 1 5; 2θ 40.13, I = 51, hkl 2 0 10; 2θ 40.89, I = 100, hkl 2 1 5; 2θ 41.80, I = 35, hkl 4 0 0; 2θ 55.59, I = 10, hkl 4 1 5; 2θ 61.57, I = 18, hkl 0 1 15; 2θ 75.70, I = 12, hkl 6 1 5; 2θ 77.20, I = 17, hkl 4 1 15; 2θ 77.60, I = 11, hkl 2 2 10

Structural model:
```
data_Na5B9C
_cell_length_a 8.645
_cell_length_b 2.940
_cell_length_c 26.307
_cell_angle_alpha 90.00
_cell_angle_beta 90.00
_cell_angle_gamma 90.00
_space_group_name_H-M_alt 'A m m 2'
_space_group_IT_number 38
loop_
_space_group_symop_operation_xyz
'x,y,z'
'-x,-y,z'
'-x,y,z'
'x,-y,z'
'x,y+1/2,z+1/2'
'-x,-y+1/2,z+1/2'
'-x,y+1/2,z+1/2'
'x,-y+1/2,z+1/2'
loop_
_atom_site_label
_atom_site_type_symbol
_atom_site_fract_x
_atom_site_fract_y
_atom_site_fract_z
Na1 Na 0.247 0.000 0.000
Na2 Na 0.249 0.000 0.199
Na3 Na 0.250 0.000 0.399
Na4 Na 0.250 0.000 0.799
Na5 Na 0.251 0.000 0.600
B1 B 0.000 0.000 0.066
B2 B 0.000 0.000 0.133
B3 B 0.000 0.000 0.266
B4 B 0.000 0.000 0.333
B5 B 0.000 0.000 0.466
B6 B 0.000 0.000 0.533
B7 B 0.000 0.000 0.666
B8 B 0.000 0.000 0.733
B9 B 0.000 0.000 0.866
B10 B 0.000 0.000 0.933
B11 B 0.500 0.000 0.064
B12 B 0.500 0.000 0.132
B13 B 0.500 0.000 0.261
B14 B 0.500 0.000 0.328
B15 B 0.500 0.000 0.474
B16 B 0.500 0.000 0.670
B17 B 0.500 0.000 0.868
B18 B 0.500 0.000 0.933
C1 C 0.500 0.000 0.534
C2 C 0.500 0.000 0.731
```

Simulated X-ray powder pattern of Na10B13C7 for Cu Kα, 1.54184 Å, from a GGA-PBE-relaxed structure.
Peak positions follow from Bragg's law for the DFT cell and can differ from measured ones.

Principal peaks in the range 2θ = 15–90°, by angle:
2θ 35.54, I = 10, hkl 2 0 4; 2θ 36.27, I = 18, hkl 1 1 2; 2θ 41.52, I = 25, hkl 2 0 -6; 2θ 41.63, I = 25, hkl 6 0 2; 2θ 42.21, I = 100, hkl 5 1 0; 2θ 42.46, I = 38, hkl 8 0 -4; 2θ 57.05, I = 10, hkl 9 1 -2; 2θ 64.31, I = 17, hkl 3 1 6; 2θ 65.72, I = 9, hkl 0 2 0; 2θ 80.83, I = 11, hkl 6 2 2

Structural model:
```
data_Na10B13C7
_cell_length_a 17.751
_cell_length_b 2.842
_cell_length_c 13.230
_cell_angle_alpha 90.00
_cell_angle_beta 113.68
_cell_angle_gamma 90.00
_space_group_name_H-M_alt 'C 1 m 1'
_space_group_IT_number 8
loop_
_space_group_symop_operation_xyz
'x,y,z'
'x,-y,z'
'x+1/2,y+1/2,z'
'x+1/2,-y+1/2,z'
loop_
_atom_site_label
_atom_site_type_symbol
_atom_site_fract_x
_atom_site_fract_y
_atom_site_fract_z
Na1 Na 0.000 0.000 0.000
Na2 Na 0.000 0.000 0.497
Na3 Na 0.100 0.500 0.199
Na4 Na 0.100 0.500 0.698
Na5 Na 0.199 0.000 0.398
Na6 Na 0.200 0.000 0.900
Na7 Na 0.298 0.500 0.599
Na8 Na 0.299 0.500 0.101
Na9 Na 0.400 0.000 0.298
Na10 Na 0.401 0.000 0.800
B1 B 0.035 0.000 0.821
B2 B 0.063 0.500 0.375
B3 B 0.130 0.500 0.010
B4 B 0.161 0.000 0.570
B5 B 0.169 0.000 0.088
B6 B 0.232 0.000 0.714
B7 B 0.238 0.000 0.226
B8 B 0.273 0.500 0.795
B9 B 0.333 0.500 0.415
B10 B 0.369 0.000 0.988
B11 B 0.427 0.000 0.602
B12 B 0.466 0.500 0.182
B13 B 0.467 0.500 0.683
C1 C 0.031 0.000 0.312
C2 C 0.066 0.500 0.883
C3 C 0.130 0.500 0.506
C4 C 0.269 0.500 0.287
C5 C 0.337 0.500 0.923
C6 C 0.364 0.000 0.477
C7 C 0.434 0.000 0.118
```

Simulated X-ray powder pattern of Na10B17C3 for Cu Kα, 1.54184 Å, from a GGA-PBE-relaxed structure.
Peak positions follow from Bragg's law for the DFT cell and can differ from measured ones.

Principal peaks in the range 2θ = 15–90°, by angle:
2θ 33.59, I = 16, hkl 6 0 2; 2θ 35.94, I = 19, hkl 3 1 1; 2θ 39.55, I = 28, hkl 2 0 4; 2θ 39.74, I = 28, hkl 10 0 0; 2θ 41.63, I = 100, hkl 8 0 -4; 2θ 41.75, I = 57, hkl 7 1 -1; 2θ 61.60, I = 20, hkl 9 1 3; 2θ 76.90, I = 10, hkl 1 1 7; 2θ 77.27, I = 10, hkl 17 1 -1; 2θ 81.19, I = 9, hkl 8 2 -4

Structural model:
```
data_Na10B17C3
_cell_length_a 23.562
_cell_length_b 2.828
_cell_length_c 10.216
_cell_angle_alpha 90.00
_cell_angle_beta 105.71
_cell_angle_gamma 90.00
_space_group_name_H-M_alt 'C 1 m 1'
_space_group_IT_number 8
loop_
_space_group_symop_operation_xyz
'x,y,z'
'x,-y,z'
'x+1/2,y+1/2,z'
'x+1/2,-y+1/2,z'
loop_
_atom_site_label
_atom_site_type_symbol
_atom_site_fract_x
_atom_site_fract_y
_atom_site_fract_z
Na1 Na 0.000 0.000 0.000
Na2 Na 0.000 0.500 0.497
Na3 Na 0.099 0.500 0.196
Na4 Na 0.100 0.000 0.698
Na5 Na 0.199 0.000 0.393
Na6 Na 0.199 0.500 0.895
Na7 Na 0.298 0.000 0.095
Na8 Na 0.298 0.500 0.595
Na9 Na 0.399 0.500 0.296
Na10 Na 0.400 0.000 0.798
B1 B 0.022 0.000 0.290
B2 B 0.027 0.500 0.801
B3 B 0.087 0.000 0.421
B4 B 0.116 0.000 0.981
B5 B 0.175 0.500 0.598
B6 B 0.208 0.500 0.164
B7 B 0.214 0.000 0.678
B8 B 0.275 0.500 0.298
B9 B 0.276 0.000 0.802
B10 B 0.315 0.000 0.379
B11 B 0.318 0.500 0.884
B12 B 0.379 0.000 0.506
B13 B 0.380 0.500 0.008
B14 B 0.420 0.000 0.088
B15 B 0.423 0.500 0.593
B16 B 0.484 0.000 0.214
B17 B 0.485 0.500 0.718
C1 C 0.086 0.500 0.919
C2 C 0.117 0.500 0.480
C3 C 0.177 0.000 0.104
```

Simulated X-ray powder pattern of Na10B13C7 for Cu Kα, 1.54184 Å, from a GGA-PBE-relaxed structure.
Peak positions follow from Bragg's law for the DFT cell and can differ from measured ones.

Principal peaks in the range 2θ = 15–90°, by angle:
2θ 36.07, I = 18, hkl 1 0 0; 2θ 42.05, I = 100, hkl 1 0 10; 2θ 42.52, I = 23, hkl 0 0 20; 2θ 43.22, I = 2, hkl 1 0 11; 2θ 56.95, I = 9, hkl 1 0 20; 2θ 64.85, I = 18, hkl 1 1 0; 2θ 76.51, I = 2, hkl 2 0 0; 2θ 77.49, I = 10, hkl 1 0 30; 2θ 80.36, I = 11, hkl 2 0 10; 2θ 80.68, I = 16, hkl 1 1 20

Structural model:
```
data_Na10B13C7
_cell_length_a 2.8754
_cell_length_b 2.8754
_cell_length_c 42.5189
_cell_angle_alpha 90.00
_cell_angle_beta 90.00
_cell_angle_gamma 120.00
_space_group_name_H-M_alt 'P -6 m 2'
_space_group_IT_number 187
_space_group_name_Hall 'P -6 2'
loop_
_atom_site_label
_atom_site_type_symbol
_atom_site_fract_x
_atom_site_fract_y
_atom_site_fract_z
Na1 Na 0.0000 0.0000 0.0494
Na2 Na 0.0000 0.0000 0.1481
Na3 Na 0.0000 0.0000 0.2469
Na4 Na 0.0000 0.0000 0.3460
Na5 Na 0.0000 0.0000 0.4484
B1 B 0.3333 0.6667 0.0988
B2 B 0.3333 0.6667 0.2962
B3 B 0.3333 0.6667 0.3971
B4 B 0.3333 0.6667 0.5000
B5 B 0.6667 0.3333 0.0000
B6 B 0.6667 0.3333 0.1975
B7 B 0.6667 0.3333 0.3971
B8 B 0.6667 0.3333 0.5000
C1 C 0.3333 0.6667 0.0000
C2 C 0.3333 0.6667 0.1975
C3 C 0.6667 0.3333 0.0988
C4 C 0.6667 0.3333 0.2961
```

Simulated X-ray powder pattern of Na5B8C2 for Cu Kα, 1.54184 Å, from a GGA-PBE-relaxed structure.
Peak positions follow from Bragg's law for the DFT cell and can differ from measured ones.

Principal peaks in the range 2θ = 15–90°, by angle:
2θ 33.93, I = 14, hkl 0 10 0; 2θ 36.17, I = 17, hkl 1 5 0; 2θ 39.95, I = 49, hkl 0 10 2; 2θ 41.61, I = 38, hkl 0 0 4; 2θ 41.91, I = 100, hkl 1 5 2; 2θ 56.29, I = 10, hkl 1 5 4; 2θ 62.18, I = 17, hkl 1 15 0; 2θ 76.14, I = 13, hkl 1 5 6; 2θ 77.62, I = 17, hkl 1 15 4; 2θ 80.43, I = 10, hkl 2 10 2

Structural model:
```
data_Na5B8C2
_cell_length_a 2.814
_cell_length_b 26.420
_cell_length_c 8.681
_cell_angle_alpha 90.00
_cell_angle_beta 90.00
_cell_angle_gamma 90.00
_space_group_name_H-M_alt 'C m c m'
_space_group_IT_number 63
_space_group_name_Hall '-C 2c 2'
loop_
_atom_site_label
_atom_site_type_symbol
_atom_site_fract_x
_atom_site_fract_y
_atom_site_fract_z
Na1 Na 0.000 0.000 0.000
Na2 Na 0.000 0.200 0.001
Na3 Na 0.000 0.401 0.501
B1 B 0.000 0.066 0.250
B2 B 0.000 0.130 0.250
B3 B 0.000 0.133 0.750
B4 B 0.000 0.264 0.750
B5 B 0.000 0.278 0.250
B6 B 0.000 0.327 0.750
B7 B 0.000 0.459 0.250
B8 B 0.000 0.475 0.750
C1 C 0.000 0.072 0.750
C2 C 0.000 0.336 0.250
```

Simulated X-ray powder pattern of Na10B17C3 for Cu Kα, 1.54184 Å, from a GGA-PBE-relaxed structure.
Peak positions follow from Bragg's law for the DFT cell and can differ from measured ones.

Principal peaks in the range 2θ = 15–90°, by angle:
2θ 33.53, I = 14, hkl 0 0 10; 2θ 36.01, I = 17, hkl 0 1 5; 2θ 39.58, I = 50, hkl 2 0 10; 2θ 41.53, I = 38, hkl 4 0 0; 2θ 41.75, I = 100, hkl 2 1 5; 2θ 56.12, I = 10, hkl 4 1 5; 2θ 61.57, I = 18, hkl 0 1 15; 2θ 75.92, I = 13, hkl 6 1 5; 2θ 77.02, I = 17, hkl 4 1 15; 2θ 80.06, I = 9, hkl 2 2 10

Structural model:
```
data_Na10B17C3
_cell_length_a 8.697
_cell_length_b 2.820
_cell_length_c 26.727
_cell_angle_alpha 90.00
_cell_angle_beta 90.00
_cell_angle_gamma 90.00
_space_group_name_H-M_alt 'A m m 2'
_space_group_IT_number 38
loop_
_space_group_symop_operation_xyz
'x,y,z'
'-x,-y,z'
'-x,y,z'
'x,-y,z'
'x,y+1/2,z+1/2'
'-x,-y+1/2,z+1/2'
'-x,y+1/2,z+1/2'
'x,-y+1/2,z+1/2'
loop_
_atom_site_label
_atom_site_type_symbol
_atom_site_fract_x
_atom_site_fract_y
_atom_site_fract_z
Na1 Na 0.249 0.000 0.000
Na2 Na 0.250 0.000 0.202
Na3 Na 0.250 0.000 0.400
Na4 Na 0.250 0.000 0.601
Na5 Na 0.250 0.000 0.801
B1 B 0.000 0.000 0.067
B2 B 0.000 0.000 0.131
B3 B 0.000 0.000 0.278
B4 B 0.000 0.000 0.459
B5 B 0.000 0.000 0.526
B6 B 0.000 0.000 0.674
B7 B 0.000 0.000 0.737
B8 B 0.000 0.000 0.868
B9 B 0.500 0.000 0.072
B10 B 0.500 0.000 0.135
B11 B 0.500 0.000 0.327
B12 B 0.500 0.000 0.469
B13 B 0.500 0.000 0.532
B14 B 0.500 0.000 0.674
B15 B 0.500 0.000 0.739
B16 B 0.500 0.000 0.866
B17 B 0.500 0.000 0.929
C1 C 0.000 0.000 0.337
C2 C 0.000 0.000 0.929
C3 C 0.500 0.000 0.268
```

Simulated X-ray powder pattern of Na5B8C2 for Cu Kα, 1.54184 Å, from a GGA-PBE-relaxed structure.
Peak positions follow from Bragg's law for the DFT cell and can differ from measured ones.

Principal peaks in the range 2θ = 15–90°, by angle:
2θ 35.19, I = 20, hkl 5 1 -2; 2θ 35.64, I = 9, hkl 0 2 0; 2θ 41.08, I = 100, hkl 5 1 0; 2θ 41.47, I = 50, hkl 0 2 2; 2θ 41.75, I = 37, hkl 0 0 4; 2θ 62.84, I = 9, hkl 10 0 -4; 2θ 63.72, I = 17, hkl 5 3 -2; 2θ 76.03, I = 6, hkl 0 2 6; 2θ 78.20, I = 10, hkl 10 0 0; 2θ 79.12, I = 17, hkl 5 3 2

Structural model:
```
data_Na5B8C2
_cell_length_a 14.788
_cell_length_b 5.039
_cell_length_c 10.472
_cell_angle_alpha 90.00
_cell_angle_beta 124.27
_cell_angle_gamma 90.00
_space_group_name_H-M_alt 'C 1 2/c 1'
_space_group_IT_number 15
loop_
_space_group_symop_operation_xyz
'x,y,z'
'-x,-y,-z'
'-x,y,-z+1/2'
'x,-y,z+1/2'
'x+1/2,y+1/2,z'
'-x+1/2,-y+1/2,-z'
'-x+1/2,y+1/2,-z+1/2'
'x+1/2,-y+1/2,z+1/2'
loop_
_atom_site_label
_atom_site_type_symbol
_atom_site_fract_x
_atom_site_fract_y
_atom_site_fract_z
Na1 Na 0.000 0.000 0.000
Na2 Na 0.099 0.497 0.498
Na3 Na 0.199 0.001 0.998
B1 B 0.000 0.170 0.250
B2 B 0.000 0.180 0.750
B3 B 0.101 0.331 0.250
B4 B 0.109 0.320 0.750
B5 B 0.206 0.160 0.250
C1 C 0.202 0.162 0.751
```

Simulated X-ray powder pattern of Na10B13C7 for Cu Kα, 1.54184 Å, from a GGA-PBE-relaxed structure.
Peak positions follow from Bragg's law for the DFT cell and can differ from measured ones.

Principal peaks in the range 2θ = 15–90°, by angle:
2θ 35.40, I = 8, hkl 0 0 10; 2θ 36.38, I = 13, hkl 0 1 5; 2θ 41.42, I = 36, hkl 2 0 10; 2θ 42.30, I = 100, hkl 4 0 0; 2θ 57.04, I = 7, hkl 4 1 5; 2θ 64.19, I = 12, hkl 0 1 15; 2θ 77.43, I = 9, hkl 6 1 5; 2θ 79.97, I = 12, hkl 4 1 15; 2θ 81.07, I = 7, hkl 2 2 10; 2θ 81.71, I = 6, hkl 4 2 0

Structural model:
```
data_Na10B13C7
_cell_length_a 8.535
_cell_length_b 2.828
_cell_length_c 25.355
_cell_angle_alpha 90.00
_cell_angle_beta 90.00
_cell_angle_gamma 90.00
_space_group_name_H-M_alt 'A m m 2'
_space_group_IT_number 38
loop_
_space_group_symop_operation_xyz
'x,y,z'
'-x,-y,z'
'-x,y,z'
'x,-y,z'
'x,y+1/2,z+1/2'
'-x,-y+1/2,z+1/2'
'-x,y+1/2,z+1/2'
'x,-y+1/2,z+1/2'
loop_
_atom_site_label
_atom_site_type_symbol
_atom_site_fract_x
_atom_site_fract_y
_atom_site_fract_z
Na1 Na 0.246 0.000 0.000
Na2 Na 0.247 0.000 0.799
Na3 Na 0.248 0.000 0.200
Na4 Na 0.248 0.000 0.601
Na5 Na 0.250 0.000 0.399
B1 B 0.000 0.000 0.073
B2 B 0.000 0.000 0.266
B3 B 0.000 0.000 0.460
B4 B 0.000 0.000 0.532
B5 B 0.000 0.000 0.669
B6 B 0.000 0.000 0.863
B7 B 0.500 0.000 0.136
B8 B 0.500 0.000 0.323
B9 B 0.500 0.000 0.473
B10 B 0.500 0.000 0.542
B11 B 0.500 0.000 0.730
B12 B 0.500 0.000 0.865
B13 B 0.500 0.000 0.931
C1 C 0.000 0.000 0.137
C2 C 0.000 0.000 0.331
C3 C 0.000 0.000 0.734
C4 C 0.000 0.000 0.929
C5 C 0.500 0.000 0.072
C6 C 0.500 0.000 0.261
C7 C 0.500 0.000 0.667
```